[1]
For LiZrFeBi, the PBE geometry in OQMD gives the computed X-ray powder pattern in this record (Cu Kα (weighted mean of Kα1 and Kα2)).
Kinematic intensities with the Lorentz-polarization factor, no thermal factor.

Atomic structure:
a b c (Å): 4.5264 4.5264 4.5264
angles (deg): 60.00 60.00 60.00
Fractional positions:
Li  0.0000  0.0000  0.0000
Zr  0.7500  0.7500  0.7500
Fe  0.5000  0.5000  0.5000
Bi  0.2500  0.2500  0.2500

Top 10 peaks for 10° ≤ 2θ ≤ 90°, in order of rising 2θ:
| two_theta | I/Imax |
| --- | --- |
| 24.08 | 28 |
| 27.88 | 53 |
| 39.83 | 100 |
| 47.09 | 15 |
| 49.31 | 16 |
| 57.60 | 17 |
| 63.33 | 7 |
| 65.18 | 21 |
| 72.31 | 34 |
| 85.89 | 11 |

=====

[2]
For LaNbSb2Ir2, the PBE geometry in OQMD gives the computed X-ray powder pattern in this record (Cu Kα (weighted mean of Kα1 and Kα2)).
Kinematic intensities with the Lorentz-polarization factor, no thermal factor.

Atomic structure:
a b c (Å): 4.5363 9.3776 6.5361
angles (deg): 90.00 90.00 90.00
Fractional positions:
La  0.0000  0.1195  0.0000
La  0.5000  0.8805  0.5000
Nb  0.0000  0.6133  0.0047
Nb  0.5000  0.3867  0.5047
Sb  0.0000  0.1465  0.4948
Sb  0.0000  0.6205  0.5157
Sb  0.5000  0.3795  0.0157
Sb  0.5000  0.8535  0.9948
Ir  0.0000  0.3949  0.2675
Ir  0.0000  0.8329  0.2197
Ir  0.5000  0.1671  0.7197
Ir  0.5000  0.6051  0.7675

Top 10 peaks for 10° ≤ 2θ ≤ 90°, in order of rising 2θ:
| two_theta | I/Imax |
| --- | --- |
| 23.35 | 36 |
| 23.88 | 38 |
| 38.40 | 21 |
| 39.02 | 100 |
| 39.74 | 27 |
| 46.60 | 12 |
| 56.45 | 13 |
| 69.86 | 9 |
| 71.65 | 17 |
| 83.83 | 9 |